Calculated X-ray diffraction stick pattern of K3Rb3DyBr8 for Cu Kα, 1.54184 Å, from a DFT-relaxed cell (PBE, Alexandria).

The 6 most intense peaks (2θ = 5–70°), most intense first:
2theta, d/Å, I_rel
26.0, 3.425, 100
11.2, 7.876, 52
37.4, 2.406, 35
36.9, 2.438, 32
46.1, 1.969, 16
34.0, 2.635, 13

Structure:
abc: 9.753 9.753 9.753
angles: 59.13 59.13 59.13
Fractional positions:
K  0.000  0.500  0.500
K  0.500  0.000  0.500
K  0.500  0.500  0.000
Rb  0.000  0.000  0.500
Rb  0.000  0.500  0.000
Rb  0.500  0.000  0.000
Dy  0.000  0.000  0.000
Br  0.211  0.211  0.781
Br  0.211  0.781  0.211
Br  0.219  0.789  0.789
Br  0.254  0.254  0.254
Br  0.746  0.746  0.746
Br  0.781  0.211  0.211
Br  0.789  0.219  0.789
Br  0.789  0.789  0.219